[1]
Ac2Sc3Ga4: computed XRD peak list (Cu Kα), based on DFT lattice parameters and positions (GGA-PBE).

Structure:
```
Ac2Sc3Ga4
1.0
3.3301 -8.0688 0.0000
3.3301 8.0688 0.0000
0.0000 0.0000 8.4844
Ac Sc Ga
4 6 8
Cartesian
3.3301 6.2541 7.7895
3.3301 1.8146 3.5473
3.3301 -1.8146 4.9371
3.3301 -6.2541 0.6949
0.0000 0.0000 4.2422
1.6651 3.4438 6.3633
1.6651 -3.4438 2.1211
3.3301 0.0000 0.0000
4.9952 3.4438 6.3633
4.9952 -3.4438 2.1211
3.3301 5.0660 4.5536
1.6651 0.6705 6.3633
1.6651 -0.6705 2.1211
3.3301 3.0028 0.3114
3.3301 -3.0028 8.1730
4.9952 0.6705 6.3633
4.9952 -0.6705 2.1211
3.3301 -5.0660 3.9308
```

Largest 10 diffraction maxima, by angle, 5° ≤ 2θ ≤ 70°:
2θ (°)  d_spacing  intensity
17.80  4.983  53
29.99  2.979  53
30.90  2.894  51
32.59  2.748  100
33.58  2.669  63
34.23  2.619  64
34.96  2.567  64
43.45  2.083  25
51.08  1.788  33
54.56  1.682  28


[2]
TbEr2S2: computed XRD peak list (Cu Kα), based on DFT lattice parameters and positions (GGA-PBE).

Structure:
```
TbEr2S2
1.0
3.8007 0.0000 0.0000
-1.9003 3.2915 0.0000
0.0000 0.0000 28.4437
Tb Er S
3 6 6
Cartesian
0.0000 0.0000 0.0000
0.0000 2.1943 18.9625
1.9003 1.0972 9.4812
0.0000 0.0000 6.1401
0.0000 0.0000 22.3036
0.0000 2.1943 12.8224
0.0000 2.1943 25.1025
1.9003 1.0972 3.3411
1.9003 1.0972 15.6213
0.0000 0.0000 11.1529
0.0000 0.0000 17.2907
0.0000 2.1943 1.6717
0.0000 2.1943 7.8095
1.9003 1.0972 20.6342
1.9003 1.0972 26.7720
```

Largest 10 diffraction maxima, by angle, 5° ≤ 2θ ≤ 70°:
2θ (°)  d_spacing  intensity
27.28  3.270  17
28.24  3.160  27
29.91  2.987  42
31.40  2.849  100
41.98  2.152  27
47.87  1.900  36
50.06  1.822  11
52.96  1.729  16
56.51  1.629  24
58.38  1.581  22


[3]
TbGe4Pt2: computed XRD peak list (Cu Kα), based on DFT lattice parameters and positions (GGA-PBE).

Structure:
```
TbGe4Pt2
1.0
17.2377 0.0000 0.0000
0.0000 4.2881 0.0000
0.0000 0.0000 7.0446
Tb Ge Pt
4 16 8
Cartesian
2.4324 1.0720 0.1092
6.1864 3.2160 3.6315
11.0513 1.0720 3.4131
14.8053 3.2160 6.9354
0.6730 3.2160 6.0754
1.1127 1.0720 3.3335
3.0607 3.2160 2.3525
3.3793 3.2160 5.2819
5.2395 1.0720 1.7596
5.5582 1.0720 5.8748
7.5061 3.2160 6.8558
7.9459 1.0720 2.5531
9.2918 3.2160 4.4915
9.7316 1.0720 0.1888
11.6795 3.2160 1.1698
11.9982 3.2160 5.2851
13.8584 1.0720 1.7628
14.1770 1.0720 4.6921
16.1249 3.2160 3.7111
16.5647 1.0720 0.9692
0.5333 3.2160 1.6498
3.6981 1.0720 3.9105
4.9208 3.2160 0.3881
8.0855 1.0720 5.1721
9.1521 3.2160 1.8725
12.3169 1.0720 6.6565
13.5396 3.2160 3.1342
16.7044 1.0720 5.3948
```

Largest 10 diffraction maxima, by angle, 5° ≤ 2θ ≤ 70°:
2θ (°)  d_spacing  intensity
24.26  3.669  34
27.35  3.261  24
28.86  3.094  21
34.56  2.595  100
35.77  2.510  76
38.74  2.325  35
42.15  2.144  58
45.27  2.003  49
45.93  1.976  28
58.57  1.576  21


[4]
Sm2CuSi4Au3: computed XRD peak list (Cu Kα), based on DFT lattice parameters and positions (GGA-PBE).

Structure:
```
Sm2CuSi4Au3
1.0
4.2392 0.0000 0.0000
0.0000 4.2392 0.0000
0.0000 0.0000 10.4025
Sm Cu Si Au
2 1 4 3
Cartesian
0.0000 2.1196 2.5018
2.1196 0.0000 7.9007
2.1196 2.1196 0.0000
0.0000 0.0000 5.2013
0.0000 2.1196 9.0652
2.1196 0.0000 1.3373
2.1196 2.1196 5.2013
0.0000 0.0000 0.0000
0.0000 2.1196 6.6039
2.1196 0.0000 3.7987
```

Largest 10 diffraction maxima, by angle, 5° ≤ 2θ ≤ 70°:
2θ (°)  d_spacing  intensity
27.14  3.286  61
29.81  2.998  29
31.05  2.880  49
33.38  2.684  77
34.53  2.597  100
42.66  2.120  70
48.76  1.868  43
55.22  1.663  37
61.89  1.499  31
66.75  1.401  32


Question: What is the formula in the fourth record?
Answer: Sm2CuSi4Au3